Diffraction record for Na4AlFe3O8. The X-ray diffraction stick pattern is simulated, not measured: it uses a structure optimized by DFT (PBE+U) and λ = 1.5418 Å (Cu Kα).
Lines closer than 0.1° are merged.

Main lines, by angle (10 to 80 degrees two-theta):
2θ/deg	I/Imax	h k l
19.85	46	0 1 -1
20.54	52	1 0 1
29.36	56	0 1 2
31.30	46	0 2 0
33.10	67	2 0 0
33.80	100	1 1 -2

Structural model:
```
Na4AlFe3O8
1.0
5.413 0.000 0.000
-0.002 5.715 0.000
-0.001 -0.002 7.188
Na Al Fe O
4 1 3 8
Direct
0.000 0.000 0.000
0.002 0.496 0.262
0.497 0.840 0.762
0.499 0.350 0.513
0.987 0.490 0.758
0.486 0.857 0.258
0.488 0.358 0.006
0.986 0.991 0.516
0.065 0.314 0.560
0.066 0.791 0.720
0.136 0.886 0.291
0.143 0.388 0.961
0.565 0.533 0.227
0.567 0.034 0.041
0.637 0.971 0.479
0.663 0.469 0.796
```